Diffraction record for MgTl2Ir. The powder diffraction line list is theoretical, not measured: it uses DFT lattice parameters and positions (PBE) and Cu Kα.
Neutral-atom scattering factors, no anomalous dispersion.

Crystal structure
```
data_MgTl2Ir
_chemical_formula_sum 'Mg2 Tl4 Ir2'
_symmetry_space_group_name_H-M 'I m m m'
_symmetry_Int_Tables_number 71
_symmetry_space_group_name_Hall '-I 2 2'
_cell_length_a 3.1120
_cell_length_b 4.4149
_cell_length_c 14.1611
_cell_angle_alpha 90.00
_cell_angle_beta 90.00
_cell_angle_gamma 90.00
loop_
_atom_site_label
_atom_site_type_symbol
_atom_site_fract_x
_atom_site_fract_y
_atom_site_fract_z
_atom_site_occupancy
Mg1 Mg 0.0000 0.0000 0.0000 1
Tl1 Tl 0.0000 0.5000 0.1727 1
Ir1 Ir 0.0000 0.0000 0.5000 1
```

Main lines, by angle (2θ = 5–70°):
Position (°2θ)	intensity	h k l
21.08	1000	0 1 1
27.67	232	0 1 3
34.52	754	1 0 3
37.57	743	1 1 2
37.74	342	0 1 5
38.13	336	0 0 6
40.88	287	0 2 0
43.83	324	1 1 4
54.55	419	1 2 3
64.09	212	1 1 8